(1)
The following is a calculated PXRD pattern of ScPaCuSi. It was derived from a GGA-PBE-relaxed structure, using Cu Kα, 1.54184 Å.
Lines closer than 0.1° are merged.

Cell and atoms:
a b c (Å): 6.7553 6.7553 6.7553
angles (deg): 90.00 90.00 90.00
Space group F-43m (No. 216)
One atom of each set of equivalent atoms:
Sc1 0.0000 0.0000 0.0000
Pa1 0.0000 0.0000 0.5000
Cu1 0.2500 0.2500 0.7500
Si1 0.2500 0.2500 0.2500

Top 8 peaks for 2θ from 10° to 80°, by angle:
2theta, intensity, h k l
22.80, 59, 1 1 1
26.39, 27, 2 0 0
37.66, 100, 2 2 0
44.48, 33, 3 1 1
54.32, 17, 4 0 0
59.66, 14, 3 3 1
61.38, 11, 4 2 0
67.98, 35, 4 2 2

---

(2)
The following is a calculated PXRD pattern of Ba7TlPt2Au2. It was derived from a GGA-PBE-relaxed structure, using Cu Kα, 1.54184 Å.
Lines closer than 0.1° are merged.

Cell and atoms:
a b c (Å): 6.4498 25.6402 6.4552
angles (deg): 90.00 90.00 90.00
Space group Imm2 (No. 44)
One atom of each set of equivalent atoms:
Ba1 0.0000 0.0000 0.0000
Ba2 0.0000 0.1157 0.5084
Ba3 0.0000 0.2397 0.0087
Ba4 0.0000 0.3837 0.5092
Tl1 0.0000 0.5000 0.0497
Pt1 0.0000 0.1180 0.0094
Au1 0.0000 0.2497 0.5085

Top 8 peaks for 2θ from 10° to 80°, by angle:
2theta, intensity, h k l
17.22, 21, 1 3 0
27.65, 100, 2 0 0
27.84, 44, 0 8 0
39.50, 38, 2 0 2
39.64, 68, 2 8 0
49.01, 37, 2 8 2
64.62, 25, 4 0 2
71.74, 23, 4 8 2